Record 1
This entry pairs a crystal structure of Dy4HoZn5 with its theoretical powder XRD pattern. Radiation: CuKα. Structure: a crystal structure in OQMD, relaxed with PBE.

Cell and atoms:
```
data_Dy4HoZn5
_chemical_formula_sum 'Dy4 Ho1 Zn5'
_cell_length_a 3.5566
_cell_length_b 3.5566
_cell_length_c 17.7671
_cell_angle_alpha 90.00
_cell_angle_beta 90.00
_cell_angle_gamma 90.00
_space_group_name_H-M_alt 'P 4/m m m'
_space_group_IT_number 123
_space_group_name_Hall '-P 4 2'
loop_
_atom_site_label
_atom_site_fract_x
_atom_site_fract_y
_atom_site_fract_z
_atom_site_occupancy
Dy1 0.0000 0.0000 0.1001 1
Dy2 0.0000 0.0000 0.3003 1
Ho1 0.0000 0.0000 0.5000 1
Zn1 0.5000 0.5000 0.0000 1
Zn2 0.5000 0.5000 0.2001 1
Zn3 0.5000 0.5000 0.4010 1
```

The 9 most intense peaks (2θ = 10–90°), in order of falling intensity:
2θ (°), I (rel.)
35.71, 100
64.16, 36
25.04, 18
51.40, 18
86.57, 16
75.65, 11
58.00, 8
44.12, 6
81.15, 4

Record 2
This entry pairs a crystal structure of DyI3 with its theoretical powder XRD pattern. Radiation: CuKα. Structure: a crystal structure in OQMD, relaxed with PBE.

Cell and atoms:
```
data_DyI3
_chemical_formula_sum 'Dy4 I12'
_cell_length_a 7.2759
_cell_length_b 7.2759
_cell_length_c 13.1408
_cell_angle_alpha 90.00
_cell_angle_beta 90.00
_cell_angle_gamma 90.00
_space_group_name_H-M_alt 'P 42/m n m'
_space_group_IT_number 136
_space_group_name_Hall '-P 4n 2n'
loop_
_atom_site_label
_atom_site_fract_x
_atom_site_fract_y
_atom_site_fract_z
_atom_site_occupancy
Dy1 0.0000 0.0000 0.1688 1
I1 0.2008 0.2008 0.0000 1
I2 0.2037 0.2037 0.3354 1
```

The 10 most intense peaks (2θ = 10–90°), in order of falling intensity:
2θ (°), I (rel.)
26.73, 100
34.33, 55
42.61, 49
17.24, 44
34.88, 37
27.41, 32
13.91, 24
44.48, 21
73.33, 21
55.07, 19

Record 3
This entry pairs a crystal structure of DySbMoI2 with its theoretical powder XRD pattern. Radiation: CuKα. Structure: a crystal structure in OQMD, relaxed with PBE.

Cell and atoms:
```
data_DySbMoI2
_chemical_formula_sum 'Dy1 Sb1 Mo1 I2'
_cell_length_a 4.2412
_cell_length_b 4.2412
_cell_length_c 10.2486
_cell_angle_alpha 90.00
_cell_angle_beta 90.00
_cell_angle_gamma 120.00
_space_group_name_H-M_alt 'P 3 m 1'
_space_group_IT_number 156
loop_
_space_group_symop_operation_xyz
'x,y,z'
'-y,x-y,z'
'-x+y,-x,z'
'-y,-x,z'
'-x+y,y,z'
'x,x-y,z'
loop_
_atom_site_label
_atom_site_fract_x
_atom_site_fract_y
_atom_site_fract_z
_atom_site_occupancy
Dy1 0.0000 0.0000 0.0000 1
Sb1 0.6667 0.3333 0.1670 1
Mo1 0.3333 0.6667 0.2838 1
I1 0.0000 0.0000 0.4487 1
I2 0.3333 0.6667 0.8064 1
```

The 10 most intense peaks (2θ = 10–90°), in order of falling intensity:
2θ (°), I (rel.)
29.93, 100
42.64, 37
43.04, 27
52.96, 20
70.25, 17
35.90, 14
25.77, 10
78.33, 9
24.23, 9
62.19, 9

Record 4
This entry pairs a crystal structure of Nd2Dy2SiI5 with its theoretical powder XRD pattern. Radiation: CuKα. Structure: a crystal structure in OQMD, relaxed with PBE.

Cell and atoms:
```
data_Nd2Dy2SiI5
_chemical_formula_sum 'Nd4 Dy4 Si2 I10'
_cell_length_a 19.3801
_cell_length_b 4.2561
_cell_length_c 9.0936
_cell_angle_alpha 90.00
_cell_angle_beta 102.56
_cell_angle_gamma 90.00
_space_group_name_H-M_alt 'C 1 2/m 1'
_space_group_IT_number 12
loop_
_space_group_symop_operation_xyz
'x,y,z'
'-x,-y,-z'
'-x,y,-z'
'x,-y,z'
'x+1/2,y+1/2,z'
'-x+1/2,-y+1/2,-z'
'-x+1/2,y+1/2,-z'
'x+1/2,-y+1/2,z'
loop_
_atom_site_label
_atom_site_fract_x
_atom_site_fract_y
_atom_site_fract_z
_atom_site_occupancy
Nd1 0.0008 0.0000 0.2868 1
Dy1 0.1436 0.5000 0.5725 1
Si1 0.0000 0.5000 0.5000 1
I1 0.0000 0.5000 0.0000 1
I2 0.1688 0.0000 0.8246 1
I3 0.1746 0.0000 0.3425 1
```

The 10 most intense peaks (2θ = 10–90°), in order of falling intensity:
2θ (°), I (rel.)
28.73, 100
28.31, 58
40.52, 31
41.03, 31
31.63, 20
42.48, 18
39.65, 18
51.83, 16
59.50, 12
15.10, 11

Record 5
This entry pairs a crystal structure of PrDySbI2 with its theoretical powder XRD pattern. Radiation: CuKα. Structure: a crystal structure in OQMD, relaxed with PBE.

Cell and atoms:
```
data_PrDySbI2
_chemical_formula_sum 'Pr1 Dy1 Sb1 I2'
_cell_length_a 4.4106
_cell_length_b 4.4106
_cell_length_c 11.4078
_cell_angle_alpha 90.00
_cell_angle_beta 90.00
_cell_angle_gamma 120.00
_space_group_name_H-M_alt 'P 3 m 1'
_space_group_IT_number 156
loop_
_space_group_symop_operation_xyz
'x,y,z'
'-y,x-y,z'
'-x+y,-x,z'
'-y,-x,z'
'-x+y,y,z'
'x,x-y,z'
loop_
_atom_site_label
_atom_site_fract_x
_atom_site_fract_y
_atom_site_fract_z
_atom_site_occupancy
Pr1 0.0000 0.0000 0.0000 1
Dy1 0.6667 0.3333 0.6963 1
Sb1 0.3333 0.6667 0.8389 1
I1 0.0000 0.0000 0.5286 1
I2 0.6667 0.3333 0.1798 1
```

The 10 most intense peaks (2θ = 10–90°), in order of falling intensity:
2θ (°), I (rel.)
28.12, 100
39.43, 36
40.92, 35
50.39, 20
66.85, 17
64.74, 14
58.13, 12
73.53, 11
33.25, 9
23.29, 8

Record 6
This entry pairs a crystal structure of DyYSbI2 with its theoretical powder XRD pattern. Radiation: CuKα. Structure: a crystal structure in OQMD, relaxed with PBE.

Cell and atoms:
```
data_DyYSbI2
_chemical_formula_sum 'Dy1 Y1 Sb1 I2'
_cell_length_a 4.3425
_cell_length_b 4.3425
_cell_length_c 11.1902
_cell_angle_alpha 90.00
_cell_angle_beta 90.00
_cell_angle_gamma 120.00
_space_group_name_H-M_alt 'P 3 m 1'
_space_group_IT_number 156
loop_
_space_group_symop_operation_xyz
'x,y,z'
'-y,x-y,z'
'-x+y,-x,z'
'-y,-x,z'
'-x+y,y,z'
'x,x-y,z'
loop_
_atom_site_label
_atom_site_fract_x
_atom_site_fract_y
_atom_site_fract_z
_atom_site_occupancy
Dy1 0.0000 0.0000 0.0000 1
Y1 0.3333 0.6667 0.3024 1
Sb1 0.6667 0.3333 0.1510 1
I1 0.0000 0.0000 0.4752 1
I2 0.3333 0.6667 0.8273 1
```

The 10 most intense peaks (2θ = 10–90°), in order of falling intensity:
2θ (°), I (rel.)
28.60, 100
40.18, 36
41.59, 35
51.26, 19
68.06, 16
66.04, 14
59.21, 12
74.94, 11
24.98, 9
33.85, 9

Record 7
This entry pairs a crystal structure of TbDyI6 with its theoretical powder XRD pattern. Radiation: CuKα. Structure: a crystal structure in OQMD, relaxed with PBE.

Cell and atoms:
```
data_TbDyI6
_chemical_formula_sum 'Tb2 Dy2 I12'
_cell_length_a 7.6466
_cell_length_b 13.2853
_cell_length_c 7.6282
_cell_angle_alpha 90.00
_cell_angle_beta 109.15
_cell_angle_gamma 90.00
_space_group_name_H-M_alt 'C 1 2 1'
_space_group_IT_number 5
loop_
_space_group_symop_operation_xyz
'x,y,z'
'-x,y,-z'
'x+1/2,y+1/2,z'
'-x+1/2,y+1/2,-z'
loop_
_atom_site_label
_atom_site_fract_x
_atom_site_fract_y
_atom_site_fract_z
_atom_site_occupancy
Tb1 0.0000 0.0000 0.0000 1
Dy1 0.0000 0.3321 0.0000 1
I1 0.2261 0.1662 0.2474 1
I2 0.2467 0.3411 0.7579 1
I3 0.2471 0.9908 0.7579 1
```

The 10 most intense peaks (2θ = 10–90°), in order of falling intensity:
2θ (°), I (rel.)
28.51, 100
40.80, 73
28.69, 49
24.68, 49
12.28, 38
40.93, 37
50.58, 28
66.83, 25
23.60, 20
13.96, 19

Record 8
This entry pairs a crystal structure of DyZr5I3 with its theoretical powder XRD pattern. Radiation: CuKα. Structure: a crystal structure in OQMD, relaxed with PBE.

Cell and atoms:
```
data_DyZr5I3
_chemical_formula_sum 'Dy1 Zr5 I3'
_cell_length_a 7.4669
_cell_length_b 7.4669
_cell_length_c 5.4068
_cell_angle_alpha 90.00
_cell_angle_beta 90.00
_cell_angle_gamma 120.00
_space_group_name_H-M_alt 'P -6 2 m'
_space_group_IT_number 189
_space_group_name_Hall 'P -6 -2'
loop_
_atom_site_label
_atom_site_fract_x
_atom_site_fract_y
_atom_site_fract_z
_atom_site_occupancy
Dy1 0.0000 0.0000 0.0000 1
Zr1 0.0000 0.2251 0.5000 1
Zr2 0.3333 0.6667 0.5000 1
I1 0.0000 0.4163 0.0000 1
```

The 10 most intense peaks (2θ = 10–90°), in order of falling intensity:
2θ (°), I (rel.)
32.26, 100
40.50, 76
23.83, 54
33.14, 45
41.23, 25
64.21, 19
65.21, 18
58.64, 18
41.91, 16
54.44, 15